Starting from DFT lattice parameters and positions (GGA+U), the powder X-ray diffraction pattern of Ba3Ho2MoO9 was computed for Cu Kα X-rays.
No peak broadening, texture or thermal motion is included.

Atomic structure:
Unit cell a=6.080 b=6.080 c=14.882 alpha=90.43 beta=90.43 gamma=59.57
Positions (direct):
Ba 0.001 0.999 0.750
Ba 0.333 0.335 0.587
Ba 0.335 0.333 0.087
Ba 0.665 0.667 0.913
Ba 0.667 0.665 0.413
Ba 0.999 0.001 0.250
Ho 0.331 0.334 0.332
Ho 0.334 0.331 0.832
Ho 0.666 0.669 0.168
Ho 0.669 0.666 0.668
Mo 0.000 0.000 0.000
Mo 0.000 0.000 0.500
O 0.030 0.434 0.736
O 0.109 0.713 0.916
O 0.150 0.153 0.424
O 0.153 0.150 0.924
O 0.194 0.673 0.437
O 0.287 0.891 0.584
O 0.327 0.806 0.063
O 0.434 0.030 0.236
O 0.488 0.512 0.750
O 0.512 0.488 0.250
O 0.566 0.970 0.764
O 0.673 0.194 0.937
O 0.713 0.109 0.416
O 0.806 0.327 0.563
O 0.847 0.850 0.076
O 0.850 0.847 0.576
O 0.891 0.287 0.084
O 0.970 0.566 0.264

Peak list (12 most intense, 10 to 90 degrees two-theta, low angle first)
2θ = 29.38°, I = 1000; 2θ = 29.54°, I = 517; 2θ = 41.80°, I = 150; 2θ = 42.26°, I = 277; 2θ = 52.01°, I = 211; 2θ = 52.29°, I = 314; 2θ = 52.35°, I = 106; 2θ = 60.95°, I = 178; 2θ = 68.75°, I = 93; 2θ = 69.43°, I = 133; 2θ = 84.12°, I = 113; 2θ = 84.60°, I = 110